The following is a calculated PXRD pattern of Ta2NiPt2. It was derived from the GGA-PBE geometry in Alexandria, using Cu Kα (weighted mean of Kα1 and Kα2).
Peak positions follow from Bragg's law for the DFT cell and can differ from measured ones.

Structural model:
a b c (Å): 8.1927 8.1927 5.1570
angles (deg): 90.00 90.00 151.93
Atoms (fractional coordinates):
Ta: 0.1060 0.8940 0.7500
Ta: 0.3400 0.6600 0.7500
Ta: 0.6600 0.3400 0.2500
Ta: 0.8940 0.1060 0.2500
Ni: 0.0676 0.9324 0.2500
Ni: 0.9324 0.0676 0.7500
Pt: 0.2775 0.7225 0.2500
Pt: 0.5000 0.5000 0.0000
Pt: 0.5000 0.5000 0.5000
Pt: 0.7225 0.2775 0.7500

Largest 10 diffraction maxima, low angle first, 10° ≤ 2θ ≤ 80°:
2theta	I_rel
33.1	58
34.8	27
36.2	100
36.6	35
40.3	60
42.2	25
45.3	49
45.7	51
49.1	28
69.3	21